# Cs3CrSe3
Simulated PXRD pattern, Cu Kα. Input: the GGA-PBE geometry in Alexandria.
Lines closer than 0.1° are merged.

Cell: 9.800 8.523 14.088 Å, 90.00 99.57 90.00°
Space group P2_1/c (No. 14)
One atom of each set of equivalent atoms:
Cs (0.083, 0.143, 0.135) [4 per cell]
Cs (0.316, 0.721, 0.788) [4 per cell]
Cs (0.395, 0.233, 0.921) [4 per cell]
Cr (0.153, 0.570, 0.042) [4 per cell]
Se (0.062, 0.062, 0.390) [4 per cell]
Se (0.241, 0.669, 0.522) [4 per cell]
Se (0.346, 0.058, 0.641) [4 per cell]

Main lines, most intense first (2θ = 10–80°):
d/Å  Position (°2θ)  I_rel
3.217  27.73  100
3.202  27.86  98
3.013  29.65  83
3.033  29.45  57
2.786  32.13  50
2.587  34.67  42
3.821  23.28  41
3.690  24.12  41
4.465  19.88  40
2.497  35.96  39
1.760  51.95  39
3.386  26.32  37

# CrCu
Simulated PXRD pattern, Cu Kα. Input: the GGA-PBE geometry in Alexandria.
Lines closer than 0.1° are merged.

Cell: 7.330 7.330 3.991 Å, 90.00 90.00 90.00°
Space group P4/mnc (No. 128)
One atom of each set of equivalent atoms:
Cr (0.035, 0.353, 0.000) [8 per cell]
Cu (0.134, 0.804, 0.500) [8 per cell]

Main lines, most intense first (2θ = 10–80°):
d/Å  Position (°2θ)  I_rel
2.084  43.43  100
2.004  45.24  31
1.996  45.45  30
3.505  25.41  24
2.033  44.57  22
1.728  53.00  19
5.183  17.11  16
1.306  72.35  13
1.424  65.55  12
1.205  79.55  7
1.624  56.68  5
3.665  24.29  4

# Cr2Cu
Simulated PXRD pattern, Cu Kα. Input: the GGA-PBE geometry in Alexandria.
Lines closer than 0.1° are merged.

Cell: 2.334 14.155 4.272 Å, 90.00 90.00 90.00°
Space group Cmcm (No. 63)
One atom of each set of equivalent atoms:
Cr (0.000, 0.047, 0.250) [4 per cell]
Cr (0.000, 0.286, 0.750) [4 per cell]
Cu (0.000, 0.382, 0.250) [4 per cell]

Main lines, most intense first (2θ = 10–80°):
d/Å  Position (°2θ)  I_rel
2.065  43.84  100
1.879  48.44  94
2.136  42.32  59
2.092  43.24  43
1.495  62.10  26
1.304  72.46  16
1.219  78.45  15
1.247  76.34  6
2.359  38.15  4
3.657  24.34  3
1.583  58.27  2
3.539  25.17  1

# Cr3Cu
Simulated PXRD pattern, Cu Kα. Input: the GGA-PBE geometry in Alexandria.
Lines closer than 0.1° are merged.

Cell: 5.842 5.842 5.842 Å, 90.00 90.00 90.00°
Space group Fm-3m (No. 225)
One atom of each set of equivalent atoms:
Cr (0.000, 0.000, 0.000) [4 per cell]
Cr (0.250, 0.250, 0.250) [8 per cell]
Cu (0.000, 0.000, 0.500) [4 per cell]

Main lines, most intense first (2θ = 10–80°):
d/Å  Position (°2θ)  I_rel
2.066  43.83  100
1.461  63.72  15
3.373  26.42  1
1.762  51.91  1
2.921  30.60  1

# Cr5Cu
Simulated PXRD pattern, Cu Kα. Input: the GGA-PBE geometry in Alexandria.
Lines closer than 0.1° are merged.

Cell: 6.615 6.615 6.615 Å, 90.00 90.00 90.00°
Space group F-43m (No. 216)
One atom of each set of equivalent atoms:
Cr (0.000, 0.000, 0.000) [4 per cell]
Cr (0.124, 0.124, 0.376) [16 per cell]
Cu (0.250, 0.250, 0.750) [4 per cell]

Main lines, most intense first (2θ = 10–80°):
d/Å  Position (°2θ)  I_rel
1.994  45.48  100
1.910  47.62  35
2.339  38.49  34
1.273  74.54  26
1.350  69.63  10
3.819  23.29  3
1.654  55.57  3